Record 1
For Sn5P2O10, DFT lattice parameters and positions (GGA-PBE) gives the theoretical X-ray diffraction stick pattern in this record (Cu Kα X-rays).
No peak broadening, texture or thermal motion is included.

Structure:
a = 7.290 Å, b = 7.323 Å, c = 13.236 Å
α = 87.92°, β = 86.08°, γ = 61.82°
Space group P-1 (No. 2)
Inequivalent atoms, fractional coordinates:
Sn (0.006, 0.303, 0.332) (multiplicity 2)
Sn (0.068, 0.761, 0.369) (multiplicity 2)
Sn (0.193, 0.197, 0.879) (multiplicity 2)
Sn (0.326, 0.695, 0.124) (multiplicity 2)
Sn (0.437, 0.784, 0.640) (multiplicity 2)
P (0.062, 0.802, 0.896) (multiplicity 2)
P (0.471, 0.243, 0.623) (multiplicity 2)
O (0.068, 0.701, 0.213) (multiplicity 2)
O (0.083, 0.706, 0.006) (multiplicity 2)
O (0.108, 0.626, 0.820) (multiplicity 2)
O (0.108, 0.913, 0.646) (multiplicity 2)
O (0.168, 0.028, 0.112) (multiplicity 2)
O (0.223, 0.882, 0.878) (multiplicity 2)
O (0.312, 0.477, 0.613) (multiplicity 2)
O (0.354, 0.122, 0.667) (multiplicity 2)
O (0.356, 0.784, 0.305) (multiplicity 2)
O (0.415, 0.847, 0.481) (multiplicity 2)

Most intense lines, 10° ≤ 2θ ≤ 90°, by intensity:
2θ/deg	Rel. int.	index
27.0	1000	0 0 4
27.6	768	0 2 0
19.2	515	0 1 2
31.7	334	2 0 -2
25.0	308	2 1 1
32.4	273	2 2 -2



Record 2
For Sn2P2O7, DFT lattice parameters and positions (GGA-PBE) gives the theoretical X-ray diffraction stick pattern in this record (Cu Kα X-rays).
No peak broadening, texture or thermal motion is included.

Structure:
a = 5.472 Å, b = 9.744 Å, c = 7.698 Å
α = 90.00°, β = 116.37°, γ = 90.00°
Space group P2_1/c (No. 14)
Inequivalent atoms, fractional coordinates:
Sn (0.144, 0.119, 0.348) (multiplicity 4)
P (0.399, 0.608, 0.611) (multiplicity 4)
O (0.118, 0.659, 0.465) (multiplicity 4)
O (0.385, 0.220, 0.809) (multiplicity 4)
O (0.393, 0.531, 0.784) (multiplicity 4)
O (0.500, 0.000, 0.000) (multiplicity 2)

Most intense lines, 10° ≤ 2θ ≤ 90°, by intensity:
2θ/deg	Rel. int.	index
24.9	1000	1 2 -1
28.1	385	1 1 1
27.4	292	0 1 2
22.3	216	0 2 1
34.2	175	2 0 -2
38.0	167	0 3 2



Record 3
For Sn2P3O10, DFT lattice parameters and positions (GGA-PBE) gives the theoretical X-ray diffraction stick pattern in this record (Cu Kα X-rays).
No peak broadening, texture or thermal motion is included.

Structure:
a = 5.165 Å, b = 9.461 Å, c = 9.412 Å
α = 90.00°, β = 102.27°, γ = 90.00°
Space group P2_1/m (No. 11)
Inequivalent atoms, fractional coordinates:
Sn (0.048, 0.043, 0.341) (multiplicity 4)
P (0.263, 0.250, 0.853) (multiplicity 2)
P (0.449, 0.250, 0.179) (multiplicity 2)
P (0.487, 0.750, 0.409) (multiplicity 2)
O (0.106, 0.114, 0.831) (multiplicity 4)
O (0.233, 0.250, 0.490) (multiplicity 2)
O (0.254, 0.750, 0.746) (multiplicity 2)
O (0.306, 0.114, 0.207) (multiplicity 4)
O (0.343, 0.614, 0.430) (multiplicity 4)
O (0.457, 0.250, 0.009) (multiplicity 2)
O (0.485, 0.250, 0.759) (multiplicity 2)

Most intense lines, 10° ≤ 2θ ≤ 90°, by intensity:
2θ/deg	Rel. int.	index
25.8	1000	1 2 0
23.2	360	1 0 -2
34.9	343	0 2 3
30.0	303	0 3 1
28.9	289	1 2 1
30.7	276	1 0 -3



Record 4
For Sn2P2O7, DFT lattice parameters and positions (GGA-PBE) gives the theoretical X-ray diffraction stick pattern in this record (Cu Kα X-rays).
No peak broadening, texture or thermal motion is included.

Structure:
a = 5.391 Å, b = 11.770 Å, c = 11.881 Å
α = 102.18°, β = 99.14°, γ = 98.74°
Space group P-1 (No. 2)
Inequivalent atoms, fractional coordinates:
Sn (0.169, 0.349, 0.476) (multiplicity 2)
Sn (0.228, 0.864, 0.968) (multiplicity 2)
Sn (0.269, 0.999, 0.643) (multiplicity 2)
Sn (0.315, 0.556, 0.132) (multiplicity 2)
P (0.175, 0.220, 0.851) (multiplicity 2)
P (0.205, 0.769, 0.355) (multiplicity 2)
P (0.287, 0.616, 0.754) (multiplicity 2)
P (0.313, 0.173, 0.244) (multiplicity 2)
O (0.045, 0.770, 0.083) (multiplicity 2)
O (0.081, 0.251, 0.725) (multiplicity 2)
O (0.113, 0.583, 0.631) (multiplicity 2)
O (0.148, 0.756, 0.475) (multiplicity 2)
O (0.149, 0.181, 0.339) (multiplicity 2)
O (0.157, 0.125, 0.119) (multiplicity 2)
O (0.174, 0.691, 0.846) (multiplicity 2)
O (0.242, 0.097, 0.821) (multiplicity 2)
O (0.339, 0.671, 0.302) (multiplicity 2)
O (0.344, 0.894, 0.361) (multiplicity 2)
O (0.353, 0.504, 0.787) (multiplicity 2)
O (0.412, 0.316, 0.913) (multiplicity 2)
O (0.439, 0.312, 0.257) (multiplicity 2)
O (0.466, 0.893, 0.738) (multiplicity 2)

Most intense lines, 10° ≤ 2θ ≤ 90°, by intensity:
2θ/deg	Rel. int.	index
25.8	1000	1 -2 2
23.4	300	1 1 1
28.0	285	-1 1 3
28.2	227	-1 3 1
26.7	176	0 3 1
26.5	173	0 1 3



Record 5
For SnP2O7, DFT lattice parameters and positions (GGA-PBE) gives the theoretical X-ray diffraction stick pattern in this record (Cu Kα X-rays).
No peak broadening, texture or thermal motion is included.

Structure:
a = 6.473 Å, b = 6.536 Å, c = 7.032 Å
α = 88.39°, β = 65.99°, γ = 84.88°
Space group P-1 (No. 2)
Inequivalent atoms, fractional coordinates:
Sn (0.095, 0.157, 0.284) (multiplicity 2)
P (0.227, 0.636, 0.253) (multiplicity 2)
P (0.339, 0.887, 0.850) (multiplicity 2)
O (0.052, 0.832, 0.380) (multiplicity 2)
O (0.070, 0.466, 0.262) (multiplicity 2)
O (0.222, 0.840, 0.710) (multiplicity 2)
O (0.235, 0.089, 0.974) (multiplicity 2)
O (0.310, 0.708, 0.014) (multiplicity 2)
O (0.408, 0.107, 0.290) (multiplicity 2)
O (0.414, 0.589, 0.319) (multiplicity 2)

Most intense lines, 10° ≤ 2θ ≤ 90°, by intensity:
2θ/deg	Rel. int.	index
27.7	1000	2 0 1
15.7	987	1 0 1
13.6	531	0 1 0
15.0	498	1 0 0
30.7	475	0 2 -1
30.9	417	0 2 1



Record 6
For SnP2O7, DFT lattice parameters and positions (GGA-PBE) gives the theoretical X-ray diffraction stick pattern in this record (Cu Kα X-rays).
No peak broadening, texture or thermal motion is included.

Structure:
a = 7.057 Å, b = 8.836 Å, c = 9.543 Å
α = 90.00°, β = 107.35°, γ = 90.00°
Space group P2_1/c (No. 14)
Inequivalent atoms, fractional coordinates:
Sn (0.197, 0.072, 0.300) (multiplicity 4)
P (0.032, 0.717, 0.970) (multiplicity 4)
P (0.409, 0.740, 0.245) (multiplicity 4)
O (0.001, 0.127, 0.107) (multiplicity 4)
O (0.021, 0.588, 0.859) (multiplicity 4)
O (0.130, 0.203, 0.452) (multiplicity 4)
O (0.243, 0.715, 0.082) (multiplicity 4)
O (0.381, 0.630, 0.352) (multiplicity 4)
O (0.388, 0.588, 0.779) (multiplicity 4)
O (0.396, 0.236, 0.301) (multiplicity 4)

Most intense lines, 10° ≤ 2θ ≤ 90°, by intensity:
2θ/deg	Rel. int.	index
21.1	1000	1 1 1
22.4	638	0 2 1
17.1	626	1 1 -1
28.5	540	1 2 -2
19.5	485	0 0 2
29.7	393	2 1 -2